Starting from a DFT-relaxed cell (PBE+U, the Materials Project), the XRD peak list of NiH8Cl2O4 was calculated for Cu Kα X-rays.
Peak positions follow from Bragg's law for the DFT cell and can differ from measured ones.

Principal peaks in the range 15 to 90 degrees two-theta, by angle:
16.5°, 5.379 Å, I 40
18.4°, 4.809 Å, I 78
20.6°, 4.306 Å, I 100
30.3°, 2.954 Å, I 33
31.4°, 2.852 Å, I 55
33.0°, 2.710 Å, I 26
34.2°, 2.624 Å, I 18
35.2°, 2.546 Å, I 36
45.1°, 2.011 Å, I 21
49.4°, 1.845 Å, I 20

Structural model:
```
NiH8Cl2O4
1.0
5.996 0.000 0.000
0.000 9.405 0.000
-4.136 0.000 10.759
Ni H Cl O
4 32 8 16
Cartesian
0.000 0.736 0.000
-2.068 8.669 5.379
1.067 3.920 5.035
-1.001 5.484 10.415
-0.975 2.473 5.872
1.092 6.932 0.492
0.873 3.033 1.177
-1.195 6.371 6.556
-2.064 0.861 9.134
0.004 8.543 3.755
-0.994 3.789 6.705
1.074 5.616 1.325
0.502 2.154 3.102
-1.566 7.251 8.481
-2.074 2.218 9.899
-0.006 7.186 4.519
1.884 1.749 3.790
-0.183 7.656 9.170
3.348 0.565 0.317
1.280 8.839 5.696
0.435 1.625 8.611
2.503 7.779 3.231
3.034 4.224 3.323
0.966 5.180 8.702
0.825 2.943 9.452
2.893 6.462 4.073
2.094 1.757 6.361
4.162 7.648 0.981
4.024 0.479 1.757
1.956 8.925 7.136
2.496 3.066 7.209
4.564 6.339 1.829
3.719 4.107 4.749
1.651 5.298 10.128
5.256 3.004 1.258
3.189 6.400 6.637
-1.960 4.120 8.645
0.108 5.284 3.265
-1.113 0.604 7.162
0.955 8.801 1.783
3.136 3.661 1.233
1.068 5.743 6.612
3.844 1.039 3.804
1.776 8.365 9.183
0.081 2.448 1.264
-1.987 6.956 6.644
-0.874 3.455 5.775
1.193 5.949 0.395
-2.200 1.244 10.042
-0.132 8.160 4.663
1.005 2.191 3.945
-1.063 7.213 9.324
1.934 2.722 6.481
4.002 6.683 1.101
4.135 0.207 0.803
2.067 9.198 6.183
0.992 1.978 9.339
3.060 7.427 3.960
2.946 4.511 4.272
0.878 4.894 9.652
```

Starting from a DFT-relaxed cell (PBE+U, the Materials Project), the XRD peak list of Ho2MgMo2Cl2O8 was calculated for Cu Kα X-rays.
Peak positions follow from Bragg's law for the DFT cell and can differ from measured ones.

Principal peaks in the range 15 to 90 degrees two-theta, by angle:
15.4°, 5.748 Å, I 46
16.0°, 5.553 Å, I 76
26.5°, 3.358 Å, I 87
27.5°, 3.242 Å, I 100
28.4°, 3.147 Å, I 70
31.1°, 2.874 Å, I 25
32.2°, 2.782 Å, I 24
33.2°, 2.696 Å, I 76
51.3°, 1.782 Å, I 35
55.1°, 1.668 Å, I 26

Structural model:
```
Ho2MgMo2Cl2O8
1.0
5.765 -3.359 0.000
5.765 3.359 0.000
-1.915 0.000 6.868
Ho Mg Mo Cl O
2 1 2 2 8
Cartesian
1.811 0.000 2.579
7.804 0.000 4.289
4.808 1.518 3.434
0.151 0.088 5.440
9.465 0.088 1.428
3.693 -0.150 4.822
5.923 -0.150 2.046
4.172 3.083 4.782
3.031 1.919 2.448
5.443 3.083 2.085
2.191 -0.079 0.354
6.584 1.919 4.420
2.872 -2.004 2.505
7.424 -0.079 6.513
6.743 -2.004 4.362
```